Entry 1:
Diffraction record for Sr2CdIn4Pd3. The powder X-ray diffraction pattern is simulated, not measured: it uses a DFT-relaxed cell (GGA-PBE, Alexandria) and Cu Kα (λ = 1.5418 Å).

The 6 most intense peaks (2θ = 10–90°), sorted by position:
d [Å], intensity
3.000, 42
2.830, 100
2.270, 63
2.191, 49
2.121, 34
1.550, 23

Atomic structure:
Lattice parameters (Å, degrees): 4.540 4.540 11.993 90.00 90.00 90.00
Element x y z (fractional)
Sr 0.000 0.500 0.242
Sr 0.500 0.000 0.758
Cd 0.000 0.000 0.500
In 0.000 0.000 0.000
In 0.000 0.500 0.642
In 0.500 0.000 0.358
In 0.500 0.500 0.000
Pd 0.000 0.500 0.867
Pd 0.500 0.000 0.133
Pd 0.500 0.500 0.500

---

Entry 2:
Diffraction record for Pm4Cd3In. The powder X-ray diffraction pattern is simulated, not measured: it uses a DFT-relaxed cell (GGA-PBE, Alexandria) and Cu Kα (λ = 1.5418 Å).

The 6 most intense peaks (2θ = 10–90°), sorted by position:
d [Å], intensity
2.715, 100
1.919, 18
1.568, 28
1.566, 9
1.358, 6
1.214, 16

Atomic structure:
Lattice parameters (Å, degrees): 9.414 9.414 9.414 33.49 33.49 33.49
Element x y z (fractional)
Pm 0.125 0.125 0.125
Pm 0.375 0.375 0.375
Pm 0.625 0.625 0.625
Pm 0.875 0.875 0.875
Cd 0.000 0.000 0.000
Cd 0.251 0.251 0.251
Cd 0.749 0.749 0.749
In 0.500 0.500 0.500

---

Entry 3:
Diffraction record for PmCd11In. The powder X-ray diffraction pattern is simulated, not measured: it uses a DFT-relaxed cell (GGA-PBE, Alexandria) and Cu Kα (λ = 1.5418 Å).

The 6 most intense peaks (2θ = 10–90°), sorted by position:
d [Å], intensity
2.923, 58
2.580, 100
2.531, 64
2.519, 61
2.508, 71
2.296, 61

Atomic structure:
Lattice parameters (Å, degrees): 7.725 7.725 7.678 98.73 98.73 134.15
Element x y z (fractional)
Pm 0.000 0.000 0.000
Cd 0.000 0.000 0.500
Cd 0.000 0.500 0.000
Cd 0.005 0.650 0.649
Cd 0.281 0.493 0.791
Cd 0.350 0.995 0.351
Cd 0.493 0.281 0.791
Cd 0.500 0.000 0.000
Cd 0.507 0.719 0.209
Cd 0.650 0.005 0.649
Cd 0.719 0.507 0.209
Cd 0.995 0.350 0.351
In 0.500 0.500 0.500

---

Entry 4:
Diffraction record for Pm2Cd5In. The powder X-ray diffraction pattern is simulated, not measured: it uses a DFT-relaxed cell (GGA-PBE, Alexandria) and Cu Kα (λ = 1.5418 Å).

The 6 most intense peaks (2θ = 10–90°), sorted by position:
d [Å], intensity
2.695, 100
2.350, 34
2.303, 16
1.645, 22
1.415, 25
1.394, 12

Atomic structure:
Lattice parameters (Å, degrees): 6.646 13.295 4.607 90.00 90.00 90.00
Element x y z (fractional)
Pm 0.241 0.123 0.000
Pm 0.259 0.623 0.000
Pm 0.741 0.377 0.000
Pm 0.759 0.877 0.000
Cd 0.000 0.500 0.500
Cd 0.009 0.751 0.500
Cd 0.241 0.373 0.000
Cd 0.259 0.873 0.000
Cd 0.491 0.251 0.500
Cd 0.500 0.000 0.500
Cd 0.509 0.749 0.500
Cd 0.741 0.127 0.000
Cd 0.759 0.627 0.000
Cd 0.991 0.249 0.500
In 0.000 0.000 0.500
In 0.500 0.500 0.500